# 1
Structure and calculated powder diffractogram of NiRuPt2 (the PBE geometry in Alexandria; a wavelength of 1.5418 Å).
Kinematic intensities with the Lorentz-polarization factor, no thermal factor.

Peak list (12 most intense, 2θ from 10° to 90°, in order of rising 2θ)
| 2θ/deg | I (rel.) |
| --- | --- |
| 23.31 | 304 |
| 32.59 | 134 |
| 33.30 | 127 |
| 40.45 | 1000 |
| 41.05 | 959 |
| 47.29 | 639 |
| 47.66 | 313 |
| 53.36 | 144 |
| 69.39 | 404 |
| 82.85 | 251 |
| 83.79 | 123 |
| 84.02 | 243 |

Cell and atoms:
Unit cell a=2.748 b=3.817 c=5.381 alpha=90.00 beta=90.00 gamma=90.00
Fractional coordinates of all 4 atoms:
Ni 0.000 0.000 0.000
Ru 0.000 0.000 0.500
Pt 0.500 0.500 0.248
Pt 0.500 0.500 0.752

# 2
Structure and calculated powder diffractogram of Ca2Zn3Ga4Ge (the PBE geometry in Alexandria; a wavelength of 1.5418 Å).
Kinematic intensities with the Lorentz-polarization factor, no thermal factor.

Peak list (12 most intense, 2θ from 10° to 90°, in order of rising 2θ)
| 2θ/deg | I (rel.) |
| --- | --- |
| 15.98 | 203 |
| 22.52 | 286 |
| 32.17 | 327 |
| 34.09 | 1000 |
| 42.81 | 630 |
| 44.58 | 587 |
| 46.22 | 285 |
| 54.55 | 150 |
| 62.14 | 198 |
| 64.82 | 195 |
| 72.81 | 199 |
| 79.66 | 201 |

Cell and atoms:
Unit cell a=4.225 b=4.225 c=11.092 alpha=90.00 beta=90.00 gamma=90.00
Fractional coordinates of all 10 atoms:
Ca 0.000 0.500 0.249
Ca 0.500 0.000 0.751
Zn 0.000 0.500 0.862
Zn 0.500 0.000 0.138
Zn 0.500 0.500 0.500
Ga 0.000 0.000 0.000
Ga 0.000 0.500 0.641
Ga 0.500 0.000 0.359
Ga 0.500 0.500 0.000
Ge 0.000 0.000 0.500

# 3
Structure and calculated powder diffractogram of Mg2Ga2SnIr5 (the PBE geometry in Alexandria; a wavelength of 1.5418 Å).
Kinematic intensities with the Lorentz-polarization factor, no thermal factor.

Peak list (12 most intense, 2θ from 10° to 90°, in order of rising 2θ)
| 2θ/deg | I (rel.) |
| --- | --- |
| 21.14 | 373 |
| 23.95 | 380 |
| 34.41 | 144 |
| 38.80 | 1000 |
| 39.54 | 312 |
| 42.36 | 467 |
| 43.04 | 228 |
| 46.76 | 289 |
| 49.03 | 234 |
| 64.73 | 148 |
| 67.27 | 124 |
| 76.06 | 236 |

Cell and atoms:
Unit cell a=9.398 b=9.398 c=3.716 alpha=90.00 beta=90.00 gamma=90.00
Fractional coordinates of all 20 atoms:
Mg 0.171 0.329 0.000
Mg 0.329 0.829 0.000
Mg 0.671 0.171 0.000
Mg 0.829 0.671 0.000
Ga 0.126 0.626 0.000
Ga 0.374 0.126 0.000
Ga 0.626 0.874 0.000
Ga 0.874 0.374 0.000
Sn 0.000 0.000 0.000
Sn 0.500 0.500 0.000
Ir 0.000 0.500 0.500
Ir 0.078 0.798 0.500
Ir 0.202 0.078 0.500
Ir 0.298 0.578 0.500
Ir 0.422 0.298 0.500
Ir 0.500 0.000 0.500
Ir 0.578 0.702 0.500
Ir 0.702 0.422 0.500
Ir 0.798 0.922 0.500
Ir 0.922 0.202 0.500

# 4
Structure and calculated powder diffractogram of Ba4InBi (the PBE geometry in Alexandria; a wavelength of 1.5418 Å).
Kinematic intensities with the Lorentz-polarization factor, no thermal factor.

Peak list (12 most intense, 2θ from 10° to 90°, in order of rising 2θ)
| 2θ/deg | I (rel.) |
| --- | --- |
| 12.68 | 505 |
| 23.57 | 345 |
| 24.66 | 1000 |
| 26.06 | 871 |
| 26.54 | 402 |
| 27.75 | 373 |
| 28.49 | 655 |
| 28.87 | 394 |
| 29.66 | 395 |
| 30.54 | 727 |
| 31.55 | 596 |
| 33.14 | 661 |

Cell and atoms:
Unit cell a=9.707 b=9.707 c=7.943 alpha=107.86 beta=107.86 gamma=109.87
Fractional coordinates of all 12 atoms:
Ba 0.056 0.698 0.909
Ba 0.244 0.362 0.728
Ba 0.302 0.944 0.591
Ba 0.362 0.244 0.228
Ba 0.638 0.756 0.772
Ba 0.698 0.056 0.409
Ba 0.756 0.638 0.272
Ba 0.944 0.302 0.091
In 0.001 0.999 0.250
In 0.999 0.001 0.750
Bi 0.364 0.636 0.250
Bi 0.636 0.364 0.750

# 5
Structure and calculated powder diffractogram of CaLa8Er6 (the PBE geometry in Alexandria; a wavelength of 1.5418 Å).
Kinematic intensities with the Lorentz-polarization factor, no thermal factor.

Peak list (12 most intense, 2θ from 10° to 90°, in order of rising 2θ)
| 2θ/deg | I (rel.) |
| --- | --- |
| 18.46 | 230 |
| 27.59 | 189 |
| 29.70 | 302 |
| 32.11 | 1000 |
| 32.26 | 680 |
| 33.41 | 141 |
| 46.16 | 203 |
| 48.49 | 121 |
| 51.03 | 112 |
| 53.34 | 132 |
| 57.44 | 153 |
| 79.32 | 122 |

Cell and atoms:
Unit cell a=8.810 b=8.810 c=8.810 alpha=66.12 beta=66.12 gamma=66.12
Fractional coordinates of all 15 atoms:
Ca 0.000 0.000 0.000
La 0.137 0.425 0.811
La 0.189 0.863 0.575
La 0.244 0.244 0.244
La 0.425 0.811 0.137
La 0.575 0.189 0.863
La 0.756 0.756 0.756
La 0.811 0.137 0.425
La 0.863 0.575 0.189
Er 0.093 0.650 0.370
Er 0.350 0.630 0.907
Er 0.370 0.093 0.650
Er 0.630 0.907 0.350
Er 0.650 0.370 0.093
Er 0.907 0.350 0.630

# 6
Structure and calculated powder diffractogram of NaYZrS4 (the PBE geometry in Alexandria; a wavelength of 1.5418 Å).
Kinematic intensities with the Lorentz-polarization factor, no thermal factor.

Peak list (12 most intense, 2θ from 10° to 90°, in order of rising 2θ)
| 2θ/deg | I (rel.) |
| --- | --- |
| 13.05 | 1000 |
| 27.09 | 220 |
| 27.41 | 110 |
| 32.04 | 716 |
| 32.45 | 342 |
| 34.85 | 101 |
| 41.11 | 151 |
| 44.87 | 362 |
| 47.06 | 117 |
| 47.56 | 219 |
| 58.33 | 114 |
| 87.91 | 86 |

Cell and atoms:
Unit cell a=6.601 b=3.862 c=7.117 alpha=90.00 beta=107.55 gamma=90.00
Fractional coordinates of all 7 atoms:
Na 0.000 0.000 0.000
Y 0.000 0.500 0.500
Zr 0.500 0.000 0.500
S 0.254 0.000 0.717
S 0.278 0.500 0.282
S 0.722 0.500 0.718
S 0.746 0.000 0.283